This entry pairs a crystal structure of Rb2Hg3Se4 with its theoretical PXRD pattern. Radiation: Cu Kα, 1.54184 Å. Structure: DFT lattice parameters and positions (GGA-PBE).

Peak list (10 most intense, 10 to 90 degrees two-theta, by angle)
2θ/deg, intensity
12.0, 100
26.0, 53
26.9, 57
28.7, 85
29.3, 63
35.7, 61
36.2, 36
45.3, 35
45.7, 28
48.3, 28

Crystal structure
Unit cell a=10.098 b=10.098 c=10.098 alpha=141.34 beta=107.09 gamma=85.71
Fractional positions:
Rb 0.120 0.229 0.349
Rb 0.380 0.729 0.109
Rb 0.620 0.271 0.891
Rb 0.880 0.771 0.651
Hg 0.086 0.250 0.836
Hg 0.250 0.750 0.500
Hg 0.414 0.250 0.164
Hg 0.586 0.750 0.836
Hg 0.750 0.250 0.500
Hg 0.914 0.750 0.164
Se 0.005 0.413 0.145
Se 0.233 0.087 0.592
Se 0.267 0.860 0.855
Se 0.495 0.640 0.408
Se 0.505 0.360 0.592
Se 0.733 0.140 0.145
Se 0.767 0.913 0.408
Se 0.995 0.587 0.855